For Al2O3, a structure optimized by DFT (GGA-PBE) gives the calculated powder XRD pattern in this record (Cu Kα).

The 10 most intense peaks (10° ≤ 2θ ≤ 90°), by angle:
d [Å], I/Imax, hkl
4.782, 98, 0 2 0
4.155, 100, 1 1 0
2.966, 37, 0 1 1
2.623, 22, 1 3 0
2.584, 32, 1 0 1
2.495, 22, 1 1 1
2.307, 26, 2 0 0
1.821, 15, 2 1 1
1.767, 14, 1 5 0
1.357, 25, 1 6 1

Structural model:
abc: 4.6138 9.5633 3.1199
angles: 90.00 90.00 90.00
Fractional positions:
Al 0.0170 0.1754 0.0000
Al 0.4830 0.6754 0.5000
Al 0.5170 0.3246 0.5000
Al 0.9830 0.8246 0.0000
O 0.0000 0.0000 0.0000
O 0.1236 0.7530 0.5000
O 0.3764 0.2530 0.0000
O 0.5000 0.5000 0.5000
O 0.6236 0.7470 0.0000
O 0.8764 0.2470 0.5000